No. 1
# MgIrO3
Theoretical powder diffractogram, Cu Kα (weighted mean of Kα1 and Kα2). Input: a structure optimized by DFT (GGA-PBE).
Intensities are scaled so that the largest is 100.

Largest 7 diffraction maxima, by angle, 5° ≤ 2θ ≤ 70°:
- hkl 1 0 0, 2θ 22.7, intensity 100
- hkl 1 1 0, 2θ 32.3, intensity 99
- hkl 1 1 1, 2θ 39.8, intensity 13
- hkl 2 0 0, 2θ 46.3, intensity 32
- hkl 2 1 0, 2θ 52.2, intensity 42
- hkl 2 1 1, 2θ 57.6, intensity 40
- hkl 2 2 0, 2θ 67.6, intensity 19

Crystal structure
```
data_MgIrO3
_chemical_formula_sum 'Mg1 Ir1 O3'
_cell_length_a 3.9214
_cell_length_b 3.9214
_cell_length_c 3.9214
_cell_angle_alpha 90.00
_cell_angle_beta 90.00
_cell_angle_gamma 90.00
_symmetry_space_group_name_H-M 'P m -3 m'
_symmetry_Int_Tables_number 221
_symmetry_space_group_name_Hall '-P 4 2 3'
loop_
_atom_site_label
_atom_site_type_symbol
_atom_site_fract_x
_atom_site_fract_y
_atom_site_fract_z
Mg1 Mg 0.0000 0.0000 0.0000
Ir1 Ir 0.5000 0.5000 0.5000
O1 O 0.0000 0.5000 0.5000
```

No. 2
# Sm2MgIrO6
Theoretical powder diffractogram, Cu Kα (weighted mean of Kα1 and Kα2). Input: a structure optimized by DFT (GGA-PBE).
Intensities are scaled so that the largest is 100.

Largest 12 diffraction maxima, by angle, 5° ≤ 2θ ≤ 70°:
- hkl 0 1 1, 2θ 19.2, intensity 24
- hkl 1 0 0, 2θ 19.9, intensity 22
- hkl 1 1 -2, 2θ 25.3, intensity 13
- hkl 0 2 0, 2θ 31.1, intensity 20
- hkl 1 1 1, 2θ 32.3, intensity 100
- hkl 2 0 -2, 2θ 33.0, intensity 25
- hkl 2 1 -3, 2θ 38.5, intensity 12
- hkl 2 2 -2, 2θ 45.9, intensity 18
- hkl 0 0 4, 2θ 46.6, intensity 14
- hkl 1 3 -2, 2θ 51.8, intensity 14
- hkl 2 0 -6, 2θ 58.4, intensity 16
- hkl 3 1 -5, 2θ 58.6, intensity 12

Crystal structure
```
data_Sm2MgIrO6
_chemical_formula_sum 'Sm4 Mg2 Ir2 O12'
_cell_length_a 5.4280
_cell_length_b 5.7602
_cell_length_c 9.4854
_cell_angle_alpha 90.00
_cell_angle_beta 124.67
_cell_angle_gamma 90.00
_symmetry_space_group_name_H-M 'P 1 21/c 1'
_symmetry_Int_Tables_number 14
_symmetry_space_group_name_Hall '-P 2ybc'
loop_
_atom_site_label
_atom_site_type_symbol
_atom_site_fract_x
_atom_site_fract_y
_atom_site_fract_z
Sm1 Sm 0.2312 0.0681 0.2509
Mg1 Mg 0.5000 0.0000 0.0000
Ir1 Ir 0.0000 0.0000 0.5000
O1 O 0.1342 0.2008 0.9451
O2 O 0.2507 0.6983 0.9456
O3 O 0.3537 0.0341 0.7478
```

No. 3
# Mg2SnIrO6
Theoretical powder diffractogram, Cu Kα (weighted mean of Kα1 and Kα2). Input: a structure optimized by DFT (GGA-PBE).
Intensities are scaled so that the largest is 100.

Largest 12 diffraction maxima, by angle, 5° ≤ 2θ ≤ 70°:
- hkl 0 0 2, 2θ 23.0, intensity 52
- hkl 1 1 -1, 2θ 23.6, intensity 100
- hkl 1 1 1, 2θ 33.1, intensity 98
- hkl 1 1 -3, 2θ 33.2, intensity 66
- hkl 2 0 -2, 2θ 34.0, intensity 28
- hkl 0 2 2, 2θ 40.7, intensity 18
- hkl 2 2 -2, 2θ 48.2, intensity 29
- hkl 1 1 3, 2θ 53.3, intensity 25
- hkl 2 2 -4, 2θ 54.1, intensity 25
- hkl 0 2 4, 2θ 58.7, intensity 17
- hkl 1 3 -3, 2θ 59.1, intensity 29
- hkl 3 1 -5, 2θ 60.4, intensity 17

Crystal structure
```
data_Mg2SnIrO6
_chemical_formula_sum 'Mg4 Sn2 Ir2 O12'
_cell_length_a 5.2674
_cell_length_b 5.4168
_cell_length_c 9.3400
_cell_angle_alpha 90.00
_cell_angle_beta 124.17
_cell_angle_gamma 90.00
_symmetry_space_group_name_H-M 'P 1 21/c 1'
_symmetry_Int_Tables_number 14
_symmetry_space_group_name_Hall '-P 2ybc'
loop_
_atom_site_label
_atom_site_type_symbol
_atom_site_fract_x
_atom_site_fract_y
_atom_site_fract_z
Mg1 Mg 0.2446 0.0519 0.2489
Sn1 Sn 0.5000 0.0000 0.0000
Ir1 Ir 0.0000 0.0000 0.5000
O1 O 0.0960 0.1818 0.9268
O2 O 0.2451 0.6755 0.9251
O3 O 0.3808 0.0843 0.7444
```

No. 4
# Mg2TiIrO6
Theoretical powder diffractogram, Cu Kα (weighted mean of Kα1 and Kα2). Input: a structure optimized by DFT (GGA-PBE).
Intensities are scaled so that the largest is 100.

Largest 12 diffraction maxima, by angle, 5° ≤ 2θ ≤ 70°:
- hkl 0 1 1, 2θ 20.4, intensity 69
- hkl 1 0 0, 2θ 20.8, intensity 31
- hkl 1 0 -2, 2θ 21.0, intensity 35
- hkl 0 0 2, 2θ 23.7, intensity 50
- hkl 1 1 -1, 2θ 24.0, intensity 100
- hkl 0 2 0, 2θ 33.6, intensity 34
- hkl 1 1 1, 2θ 33.9, intensity 69
- hkl 1 1 -3, 2θ 34.0, intensity 68
- hkl 2 0 -2, 2θ 34.8, intensity 29
- hkl 1 2 0, 2θ 39.9, intensity 31
- hkl 2 2 -2, 2θ 49.2, intensity 33
- hkl 0 2 4, 2θ 60.3, intensity 32

Crystal structure
```
data_Mg2TiIrO6
_chemical_formula_sum 'Mg4 Ti2 Ir2 O12'
_cell_length_a 5.1510
_cell_length_b 5.3275
_cell_length_c 9.0922
_cell_angle_alpha 90.00
_cell_angle_beta 124.16
_cell_angle_gamma 90.00
_symmetry_space_group_name_H-M 'P 1 21/c 1'
_symmetry_Int_Tables_number 14
_symmetry_space_group_name_Hall '-P 2ybc'
loop_
_atom_site_label
_atom_site_type_symbol
_atom_site_fract_x
_atom_site_fract_y
_atom_site_fract_z
Mg1 Mg 0.2400 0.0576 0.2499
Ti1 Ti 0.0000 0.0000 0.5000
Ir1 Ir 0.5000 0.0000 0.0000
O1 O 0.1080 0.1896 0.9302
O2 O 0.2490 0.6835 0.9334
O3 O 0.3788 0.0643 0.7482
```

No. 5
# Mg8P8Ir23
Theoretical powder diffractogram, Cu Kα (weighted mean of Kα1 and Kα2). Input: a structure optimized by DFT (GGA-PBE).
Intensities are scaled so that the largest is 100.

Largest 12 diffraction maxima, by angle, 5° ≤ 2θ ≤ 70°:
- hkl 0 0 2, 2θ 10.4, intensity 88
- hkl 1 0 1, 2θ 11.5, intensity 57
- hkl 1 0 3, 2θ 18.7, intensity 38
- hkl 2 0 2, 2θ 23.1, intensity 44
- hkl 1 1 4, 2θ 32.4, intensity 50
- hkl 1 1 5, 2θ 36.2, intensity 63
- hkl 3 1 -1, 2θ 39.0, intensity 67
- hkl 3 1 -2, 2θ 40.1, intensity 99
- hkl 1 1 6, 2θ 40.3, intensity 100
- hkl 3 1 3, 2θ 41.9, intensity 34
- hkl 0 2 0, 2θ 45.4, intensity 82
- hkl 2 0 8, 2θ 47.6, intensity 38

Crystal structure
```
data_Mg8P8Ir23
_chemical_formula_sum 'Mg8 P8 Ir23'
_cell_length_a 8.6129
_cell_length_b 3.9953
_cell_length_c 17.0533
_cell_angle_alpha 90.00
_cell_angle_beta 90.04
_cell_angle_gamma 90.00
_symmetry_space_group_name_H-M 'P 1 2/m 1'
_symmetry_Int_Tables_number 10
_symmetry_space_group_name_Hall '-P 2y'
loop_
_atom_site_label
_atom_site_type_symbol
_atom_site_fract_x
_atom_site_fract_y
_atom_site_fract_z
Mg1 Mg 0.0932 0.0000 0.1070
Mg2 Mg 0.2103 0.0000 0.2905
Mg3 Mg 0.2909 0.0000 0.7943
Mg4 Mg 0.4070 0.0000 0.6093
P1 P 0.1331 0.5000 0.8802
P2 P 0.2433 0.5000 0.6873
P3 P 0.2585 0.5000 0.1850
P4 P 0.3679 0.5000 0.3782
Ir1 Ir 0.0000 0.0000 0.5000
Ir2 Ir 0.0000 0.5000 0.0000
Ir3 Ir 0.9996 0.5000 0.2375
Ir4 Ir 0.0967 0.0000 0.6529
Ir5 Ir 0.1010 0.5000 0.3960
Ir6 Ir 0.1963 0.5000 0.5508
Ir7 Ir 0.2129 0.0000 0.9534
Ir8 Ir 0.2957 0.0000 0.4524
Ir9 Ir 0.3093 0.5000 0.0487
Ir10 Ir 0.4018 0.0000 0.1524
Ir11 Ir 0.4053 0.5000 0.8964
Ir12 Ir 0.4995 0.5000 0.2616
Ir13 Ir 0.5000 0.5000 0.5000
```

No. 6
# Mg2IrPd
Theoretical powder diffractogram, Cu Kα (weighted mean of Kα1 and Kα2). Input: a structure optimized by DFT (GGA-PBE).
Intensities are scaled so that the largest is 100.

Largest 8 diffraction maxima, by angle, 5° ≤ 2θ ≤ 70°:
- hkl 1 1 1, 2θ 24.5, intensity 13
- hkl 2 0 0, 2θ 28.4, intensity 64
- hkl 2 2 0, 2θ 40.5, intensity 100
- hkl 3 1 1, 2θ 47.9, intensity 7
- hkl 2 2 2, 2θ 50.2, intensity 18
- hkl 4 0 0, 2θ 58.7, intensity 17
- hkl 3 3 1, 2θ 64.6, intensity 3
- hkl 4 2 0, 2θ 66.4, intensity 24

Crystal structure
```
data_Mg2IrPd
_chemical_formula_sum 'Mg8 Ir4 Pd4'
_cell_length_a 6.2926
_cell_length_b 6.2926
_cell_length_c 6.2926
_cell_angle_alpha 90.00
_cell_angle_beta 90.00
_cell_angle_gamma 90.00
_symmetry_space_group_name_H-M 'F m -3 m'
_symmetry_Int_Tables_number 225
_symmetry_space_group_name_Hall '-F 4 2 3'
loop_
_atom_site_label
_atom_site_type_symbol
_atom_site_fract_x
_atom_site_fract_y
_atom_site_fract_z
Mg1 Mg 0.2500 0.2500 0.2500
Ir1 Ir 0.0000 0.0000 0.0000
Pd1 Pd 0.0000 0.0000 0.5000
```

No. 7
# Mg2IrRh
Theoretical powder diffractogram, Cu Kα (weighted mean of Kα1 and Kα2). Input: a structure optimized by DFT (GGA-PBE).
Intensities are scaled so that the largest is 100.

Largest 8 diffraction maxima, by angle, 5° ≤ 2θ ≤ 70°:
- hkl 1 1 1, 2θ 24.7, intensity 14
- hkl 2 0 0, 2θ 28.6, intensity 64
- hkl 2 2 0, 2θ 40.8, intensity 100
- hkl 3 1 1, 2θ 48.3, intensity 7
- hkl 2 2 2, 2θ 50.6, intensity 18
- hkl 4 0 0, 2θ 59.1, intensity 17
- hkl 3 3 1, 2θ 65.1, intensity 3
- hkl 4 2 0, 2θ 67.0, intensity 23

Crystal structure
```
data_Mg2IrRh
_chemical_formula_sum 'Mg8 Ir4 Rh4'
_cell_length_a 6.2496
_cell_length_b 6.2496
_cell_length_c 6.2496
_cell_angle_alpha 90.00
_cell_angle_beta 90.00
_cell_angle_gamma 90.00
_symmetry_space_group_name_H-M 'F m -3 m'
_symmetry_Int_Tables_number 225
_symmetry_space_group_name_Hall '-F 4 2 3'
loop_
_atom_site_label
_atom_site_type_symbol
_atom_site_fract_x
_atom_site_fract_y
_atom_site_fract_z
Mg1 Mg 0.2500 0.2500 0.2500
Ir1 Ir 0.0000 0.0000 0.0000
Rh1 Rh 0.0000 0.0000 0.5000
```

No. 8
# MgSi7Ir3
Theoretical powder diffractogram, Cu Kα (weighted mean of Kα1 and Kα2). Input: a structure optimized by DFT (GGA-PBE).
Intensities are scaled so that the largest is 100.

Largest 12 diffraction maxima, by angle, 5° ≤ 2θ ≤ 70°:
- hkl 1 1 0, 2θ 23.5, intensity 19
- hkl 0 0 6, 2θ 26.6, intensity 20
- hkl 1 1 3, 2θ 27.1, intensity 100
- hkl 1 1 6, 2θ 35.8, intensity 18
- hkl 2 1 1, 2θ 36.5, intensity 5
- hkl 3 0 0, 2θ 41.3, intensity 27
- hkl 1 1 9, 2θ 47.3, intensity 35
- hkl 2 2 0, 2θ 48.1, intensity 5
- hkl 0 3 6, 2θ 49.8, intensity 32
- hkl 2 2 3, 2θ 50.1, intensity 28
- hkl 2 2 9, 2θ 64.6, intensity 6
- hkl 4 1 3, 2θ 66.9, intensity 18

Crystal structure
```
data_MgSi7Ir3
_chemical_formula_sum 'Mg6 Si42 Ir18'
_cell_length_a 7.5709
_cell_length_b 7.5709
_cell_length_c 20.0743
_cell_angle_alpha 90.00
_cell_angle_beta 90.00
_cell_angle_gamma 120.00
_symmetry_space_group_name_H-M 'R -3 c'
_symmetry_Int_Tables_number 167
_symmetry_space_group_name_Hall '-R 3 2"c'
loop_
_atom_site_label
_atom_site_type_symbol
_atom_site_fract_x
_atom_site_fract_y
_atom_site_fract_z
Mg1 Mg 0.0000 0.0000 0.0000
Si1 Si 0.0000 0.0000 0.2500
Si2 Si 0.0125 0.2021 0.1374
Ir1 Ir 0.0000 0.3238 0.2500
```

No. 9
# Sm4MgIr
Theoretical powder diffractogram, Cu Kα (weighted mean of Kα1 and Kα2). Input: a structure optimized by DFT (GGA-PBE).
Intensities are scaled so that the largest is 100.

Largest 12 diffraction maxima, by angle, 5° ≤ 2θ ≤ 70°:
- hkl 1 1 1, 2θ 10.9, intensity 40
- hkl 2 0 0, 2θ 12.6, intensity 9
- hkl 3 3 1, 2θ 27.7, intensity 28
- hkl 4 2 2, 2θ 31.2, intensity 42
- hkl 5 1 1, 2θ 33.2, intensity 100
- hkl 4 4 0, 2θ 36.2, intensity 39
- hkl 5 5 1, 2θ 46.2, intensity 11
- hkl 5 5 3, 2θ 49.9, intensity 13
- hkl 6 6 0, 2θ 55.6, intensity 42
- hkl 5 5 5, 2θ 56.8, intensity 15
- hkl 9 3 3, 2θ 66.3, intensity 10
- hkl 9 5 1, 2θ 69.3, intensity 16

Crystal structure
```
data_Sm4MgIr
_chemical_formula_sum 'Sm64 Mg16 Ir16'
_cell_length_a 14.0332
_cell_length_b 14.0332
_cell_length_c 14.0332
_cell_angle_alpha 90.00
_cell_angle_beta 90.00
_cell_angle_gamma 90.00
_symmetry_space_group_name_H-M 'F -4 3 m'
_symmetry_Int_Tables_number 216
_symmetry_space_group_name_Hall 'F -4 2 3'
loop_
_atom_site_label
_atom_site_type_symbol
_atom_site_fract_x
_atom_site_fract_y
_atom_site_fract_z
Sm1 Sm 0.0000 0.0000 0.1865
Sm2 Sm 0.0623 0.2500 0.7500
Sm3 Sm 0.0961 0.0961 0.4039
Mg1 Mg 0.1714 0.1714 0.1714
Ir1 Ir 0.1088 0.1088 0.6088
```